Diffraction record for Y2O3. The powder diffraction line list is simulated, not measured: it uses a PBE-relaxed structure and Cu Kα X-rays.

Crystal structure
```
40
Lattice="-5.351 5.351 5.351 5.351 -5.351 5.351 5.351 5.351 -5.351" Properties=species:S:1:pos:R:3 pbc="T T T"
Y 2.676 2.676 -2.676
Y 2.676 -2.676 2.676
Y 8.027 0.350 0.000
Y 5.351 -2.676 5.002
Y 5.002 5.351 -2.676
Y 5.002 0.000 2.676
Y 5.351 2.676 0.350
Y 2.676 5.002 0.000
Y -2.676 2.676 2.676
Y 2.676 2.676 2.676
Y 2.676 0.350 5.351
Y 0.000 2.676 5.002
Y 0.350 5.351 2.676
Y 0.350 0.000 8.027
Y 0.000 8.027 0.350
Y -2.676 5.002 5.351
O 1.623 1.286 -1.167
O 6.518 1.623 -1.286
O 1.286 -1.167 1.623
O 4.184 3.728 -1.286
O 3.728 1.286 1.167
O 6.638 -1.167 3.728
O 6.638 1.167 1.623
O 3.728 -1.286 4.184
O -1.167 1.623 1.286
O 1.286 1.167 3.728
O 1.167 3.728 1.286
O 1.623 -1.286 6.518
O 3.728 6.638 -1.167
O 4.184 1.623 4.065
O 4.065 4.184 1.623
O 6.518 3.728 4.065
O 1.623 6.638 1.167
O -1.286 4.184 3.728
O -1.286 6.518 1.623
O 1.623 4.065 4.184
O 1.167 1.623 6.638
O 4.065 6.518 3.728
O -1.167 3.728 6.638
O 3.728 4.065 6.518
```

Largest 10 diffraction maxima, low angle first, 2θ from 10° to 80°:
two_theta	I_rel
20.3	12
28.9	100
33.5	26
39.5	6
43.1	9
48.1	43
52.7	5
57.1	30
58.5	6
77.8	8

Diffraction record for Sr3PrIn4. The powder diffraction line list is simulated, not measured: it uses a PBE-relaxed structure and Cu Kα X-rays.

Crystal structure
```
8
Lattice="4.002 0.000 0.000 0.000 4.002 0.000 0.000 0.000 16.334" Properties=species:S:1:pos:R:3 pbc="T T T"
Sr 0.000 0.000 0.000
Sr 0.000 0.000 4.148
Sr 0.000 0.000 12.185
Pr 0.000 0.000 8.167
In 2.001 2.001 2.080
In 2.001 2.001 6.279
In 2.001 2.001 10.055
In 2.001 2.001 14.254
```

Largest 10 diffraction maxima, low angle first, 2θ from 10° to 80°:
two_theta	I_rel
31.3	100
31.6	50
44.4	9
45.3	18
55.5	18
56.1	37
65.3	11
73.5	7
74.9	8
75.1	8

Diffraction record for LiTmTlPb. The powder diffraction line list is simulated, not measured: it uses a PBE-relaxed structure and Cu Kα X-rays.

Crystal structure
```
4
Lattice="4.173 0.000 0.000 0.000 4.799 0.000 0.000 0.000 4.972" Properties=species:S:1:pos:R:3 pbc="T T T"
Li 0.000 0.000 0.000
Tm 0.000 2.399 2.486
Tl 2.086 2.399 0.000
Pb 2.086 0.000 2.486
```

Largest 10 diffraction maxima, low angle first, 2θ from 10° to 80°:
two_theta	I_rel
21.3	12
25.8	16
33.7	100
36.1	21
37.5	19
43.4	13
53.0	14
63.4	17
65.2	15
70.8	12

Diffraction record for Mg3Sn2BIr3. The powder diffraction line list is simulated, not measured: it uses a PBE-relaxed structure and Cu Kα X-rays.

Crystal structure
```
9
Lattice="7.117 0.000 0.000 -3.559 6.164 0.000 0.000 0.000 3.363" Properties=species:S:1:pos:R:3 pbc="T T T"
Mg -1.242 2.152 0.000
Mg 2.485 0.000 0.000
Mg 2.316 4.012 0.000
Sn 0.000 4.109 1.681
Sn 3.559 2.055 1.681
B 0.000 0.000 0.000
Ir -2.756 4.774 1.681
Ir 0.802 1.390 1.681
Ir 5.513 0.000 1.681
```

Largest 10 diffraction maxima, low angle first, 2θ from 10° to 80°:
two_theta	I_rel
14.4	29
25.0	32
26.5	70
29.0	24
36.8	58
38.6	91
39.7	27
47.5	100
68.9	34
76.2	30

Diffraction record for HoMgIn6. The powder diffraction line list is simulated, not measured: it uses a PBE-relaxed structure and Cu Kα X-rays.

Crystal structure
```
8
Lattice="4.660 -4.668 0.000 4.660 4.668 0.000 0.000 0.000 4.597" Properties=species:S:1:pos:R:3 pbc="T T T"
Ho 0.000 0.000 0.000
Mg 4.660 0.000 0.000
In 2.330 2.334 0.000
In 2.356 0.000 2.299
In 4.660 2.310 2.299
In 2.330 -2.334 0.000
In 4.660 -2.310 2.299
In 6.963 0.000 2.299
```

Largest 10 diffraction maxima, low angle first, 2θ from 10° to 80°:
two_theta	I_rel
13.4	9
23.6	6
33.4	100
38.6	34
39.2	16
55.7	11
56.2	22
66.6	26
67.4	13
70.3	11

Diffraction record for Sm2ErZn2Ge2. The powder diffraction line list is simulated, not measured: it uses a PBE-relaxed structure and Cu Kα X-rays.

Crystal structure
```
7
Lattice="2.076 1.199 11.234 -2.076 1.199 11.234 0.000 -2.398 11.234" Properties=species:S:1:pos:R:3 pbc="T T T"
Sm 0.000 0.000 4.090
Sm 0.000 0.000 29.613
Er 0.000 0.000 0.000
Zn 0.000 0.000 13.330
Zn 0.000 0.000 20.373
Ge 0.000 0.000 9.305
Ge 0.000 0.000 24.398
```

Largest 10 diffraction maxima, low angle first, 2θ from 10° to 80°:
two_theta	I_rel
24.9	36
31.0	86
32.7	100
36.5	33
43.6	80
54.5	18
55.6	22
60.7	28
67.3	22
73.2	19

Diffraction record for Hg3Se2Br2. The powder diffraction line list is simulated, not measured: it uses a PBE-relaxed structure and Cu Kα X-rays.

Crystal structure
```
14
Lattice="6.988 0.000 0.000 0.000 7.724 0.000 -6.375 0.000 8.534" Properties=species:S:1:pos:R:3 pbc="T T T"
Hg 0.000 0.000 0.000
Hg -3.187 3.862 4.267
Hg -1.874 0.505 5.780
Hg 1.313 3.357 1.513
Hg -0.700 4.367 7.021
Hg 2.487 7.219 2.754
Se 2.209 1.027 0.669
Se -0.979 2.835 4.936
Se 1.592 4.889 3.597
Se -1.596 6.697 7.864
Br -4.869 4.786 7.595
Br -1.681 6.800 3.329
Br 2.294 0.924 5.205
Br 5.482 2.938 0.938
```

Largest 10 diffraction maxima, low angle first, 2θ from 10° to 80°:
two_theta	I_rel
17.0	100
23.0	38
23.8	38
26.4	29
28.8	44
29.4	69
33.6	54
34.4	35
40.5	42
46.9	29